InGaCuO4: simulated powder diffractogram (Cu Kα, 1.54184 Å), based on a cell relaxed with PBE.
Kinematic intensities with the Lorentz-polarization factor, no thermal factor.

The 10 most intense peaks (10° ≤ 2θ ≤ 90°), in order of rising 2θ:
- 4.137 Å, 2θ = 21.48°, rel. 29
- 2.952 Å, 2θ = 30.28°, rel. 100
- 2.758 Å, 2θ = 32.46°, rel. 54
- 2.681 Å, 2θ = 33.42°, rel. 96
- 2.551 Å, 2θ = 35.18°, rel. 95
- 1.905 Å, 2θ = 47.73°, rel. 55
- 1.716 Å, 2θ = 53.38°, rel. 72
- 1.523 Å, 2θ = 60.83°, rel. 40
- 1.457 Å, 2θ = 63.88°, rel. 44
- 1.424 Å, 2θ = 65.55°, rel. 16

a = 8.508 Å, b = 8.508 Å, c = 8.508 Å
α = 23.28°, β = 23.28°, γ = 23.28°
Sites, in units of the cell vectors:
In (0.000, 0.000, 0.000)
Ga (0.211, 0.211, 0.211)
Cu (0.786, 0.786, 0.786)
O (0.131, 0.131, 0.131)
O (0.288, 0.288, 0.288)
O (0.706, 0.706, 0.706)
O (0.872, 0.872, 0.872)

InGaCu2Se4: simulated powder diffractogram (Cu Kα, 1.54184 Å), based on a cell relaxed with PBE.
Kinematic intensities with the Lorentz-polarization factor, no thermal factor.

The 10 most intense peaks (10° ≤ 2θ ≤ 90°), in order of rising 2θ:
- 3.322 Å, 2θ = 26.84°, rel. 100
- 2.038 Å, 2θ = 44.44°, rel. 24
- 2.032 Å, 2θ = 44.59°, rel. 48
- 1.737 Å, 2θ = 52.68°, rel. 29
- 1.729 Å, 2θ = 52.94°, rel. 14
- 1.441 Å, 2θ = 64.67°, rel. 7
- 1.319 Å, 2θ = 71.55°, rel. 11
- 1.176 Å, 2θ = 81.95°, rel. 14
- 1.172 Å, 2θ = 82.27°, rel. 7
- 1.109 Å, 2θ = 88.04°, rel. 6

a = 7.032 Å, b = 7.032 Å, c = 7.032 Å
α = 131.59°, β = 131.59°, γ = 70.87°
Sites, in units of the cell vectors:
In (0.000, 0.000, 0.000)
Ga (0.250, 0.750, 0.500)
Cu (0.500, 0.500, 0.000)
Cu (0.750, 0.250, 0.500)
Se (0.133, 0.136, 0.532)
Se (0.399, 0.867, 0.003)
Se (0.604, 0.601, 0.468)
Se (0.864, 0.396, 0.997)

In2GaCu3Se6: simulated powder diffractogram (Cu Kα, 1.54184 Å), based on a cell relaxed with PBE.
Kinematic intensities with the Lorentz-polarization factor, no thermal factor.

The 10 most intense peaks (10° ≤ 2θ ≤ 90°), in order of rising 2θ:
- 3.349 Å, 2θ = 26.62°, rel. 100
- 2.052 Å, 2θ = 44.13°, rel. 48
- 2.048 Å, 2θ = 44.22°, rel. 24
- 1.752 Å, 2θ = 52.20°, rel. 14
- 1.747 Å, 2θ = 52.36°, rel. 29
- 1.332 Å, 2θ = 70.74°, rel. 8
- 1.186 Å, 2θ = 81.12°, rel. 7
- 1.184 Å, 2θ = 81.26°, rel. 7
- 1.183 Å, 2θ = 81.35°, rel. 7
- 1.116 Å, 2θ = 87.37°, rel. 6

a = 7.096 Å, b = 7.096 Å, c = 12.978 Å
α = 100.45°, β = 100.45°, γ = 109.31°
Sites, in units of the cell vectors:
In (0.000, 0.000, 0.000)
In (0.335, 0.335, 0.668)
In (0.665, 0.665, 0.332)
In (0.750, 0.250, 0.500)
Ga (0.084, 0.583, 0.167)
Ga (0.417, 0.916, 0.833)
Cu (0.167, 0.167, 0.332)
Cu (0.251, 0.749, 0.500)
Cu (0.500, 0.500, 0.000)
Cu (0.582, 0.083, 0.165)
Cu (0.833, 0.833, 0.668)
Cu (0.917, 0.418, 0.835)
Se (0.040, 0.778, 0.823)
Se (0.135, 0.396, 0.999)
Se (0.222, 0.960, 0.177)
Se (0.272, 0.532, 0.335)
Se (0.354, 0.106, 0.489)
Se (0.468, 0.728, 0.665)
Se (0.556, 0.294, 0.844)
Se (0.604, 0.865, 0.001)
Se (0.706, 0.444, 0.156)
Se (0.802, 0.052, 0.322)
Se (0.894, 0.646, 0.511)
Se (0.948, 0.198, 0.678)

InGaCu2Te4: simulated powder diffractogram (Cu Kα, 1.54184 Å), based on a cell relaxed with PBE.
Kinematic intensities with the Lorentz-polarization factor, no thermal factor.

The 10 most intense peaks (10° ≤ 2θ ≤ 90°), in order of rising 2θ:
- 3.557 Å, 2θ = 25.03°, rel. 100
- 2.178 Å, 2θ = 41.45°, rel. 73
- 1.860 Å, 2θ = 48.98°, rel. 29
- 1.854 Å, 2θ = 49.14°, rel. 15
- 1.542 Å, 2θ = 59.97°, rel. 7
- 1.415 Å, 2θ = 66.02°, rel. 5
- 1.413 Å, 2θ = 66.15°, rel. 11
- 1.259 Å, 2θ = 75.55°, rel. 14
- 1.256 Å, 2θ = 75.73°, rel. 7
- 1.187 Å, 2θ = 80.99°, rel. 6

a = 7.536 Å, b = 7.536 Å, c = 7.536 Å
α = 131.67°, β = 131.67°, γ = 70.75°
Sites, in units of the cell vectors:
In (0.000, 0.000, 0.000)
Ga (0.250, 0.750, 0.500)
Cu (0.500, 0.500, 0.000)
Cu (0.750, 0.250, 0.500)
Te (0.132, 0.142, 0.535)
Te (0.403, 0.868, 0.010)
Te (0.608, 0.597, 0.465)
Te (0.858, 0.392, 0.990)